# KNa2MnF6
Computed X-ray diffraction stick pattern, Cu Kα, 1.54184 Å. Input: a cell relaxed with PBE+U.
Lines closer than 0.1° are merged.

Atomic structure:
```
data_KNa2MnF6
_cell_length_a 8.7923
_cell_length_b 8.7923
_cell_length_c 8.7923
_cell_angle_alpha 90.00
_cell_angle_beta 90.00
_cell_angle_gamma 90.00
_symmetry_space_group_name_H-M 'F m -3 m'
_symmetry_Int_Tables_number 225
_symmetry_space_group_name_Hall '-F 4 2 3'
loop_
_atom_site_label
_atom_site_type_symbol
_atom_site_fract_x
_atom_site_fract_y
_atom_site_fract_z
_atom_site_occupancy
K1 K 0.0000 0.0000 0.0000 1
Na1 Na 0.2500 0.2500 0.2500 1
Mn1 Mn 0.0000 0.0000 0.5000 1
F1 F 0.0000 0.0000 0.2790 1
```

Main lines, by angle (2θ = 10–80°):
17.5 deg, rel. 26
20.2 deg, rel. 86
28.7 deg, rel. 100
35.4 deg, rel. 12
41.1 deg, rel. 93
46.2 deg, rel. 24
50.9 deg, rel. 32
59.5 deg, rel. 48
67.4 deg, rel. 20
74.8 deg, rel. 13